Diffraction record for NiS2. The PXRD pattern is computed, not measured: it uses a crystal structure in the Materials Project, relaxed with GGA-PBE and Cu Ka.
Kinematic intensities with the Lorentz-polarization factor, no thermal factor.

Atomic structure:
```
data_NiS2
_cell_length_a 4.5862
_cell_length_b 5.6090
_cell_length_c 3.5292
_cell_angle_alpha 90.00
_cell_angle_beta 90.00
_cell_angle_gamma 90.00
_symmetry_space_group_name_H-M 'P 1'
_symmetry_Int_Tables_number 1
_symmetry_space_group_name_Hall 'P 1'
loop_
_atom_site_label
_atom_site_type_symbol
_atom_site_fract_x
_atom_site_fract_y
_atom_site_fract_z
_atom_site_occupancy
Ni1 Ni 0.0000 0.0000 0.0000 1
Ni2 Ni 0.5000 0.5000 0.5000 1
S1 S 0.1835 0.3892 0.0000 1
S2 S 0.3165 0.8892 0.5000 1
S3 S 0.6835 0.1108 0.5000 1
S4 S 0.8165 0.6108 0.0000 1
```

Peak list (8 most intense, 10° ≤ 2θ ≤ 90°, by angle)
3.550 Å, 25.08 deg, intensity 31, hkl 1 1 0
2.799 Å, 31.98 deg, intensity 100, hkl 1 0 1
2.503 Å, 35.88 deg, intensity 19, hkl 1 1 1
2.393 Å, 37.59 deg, intensity 19, hkl 1 2 0
1.980 Å, 45.82 deg, intensity 30, hkl 1 2 1
1.819 Å, 50.15 deg, intensity 44, hkl 2 1 1
1.765 Å, 51.81 deg, intensity 17, hkl 0 0 2
1.652 Å, 55.63 deg, intensity 15, hkl 0 3 1